[1]
# TbY3Ga3
Simulated X-ray powder pattern, Cu Kα (weighted mean of Kα1 and Kα2). Input: a GGA-PBE-relaxed structure.

Structural model:
```
TbY3Ga3
1.0
9.171 0.000 0.000
-4.585 7.942 0.000
0.000 0.000 4.801
Tb Y Ga
2 6 6
Direct
0.333 0.667 0.250
0.667 0.333 0.750
0.016 0.760 0.750
0.240 0.256 0.750
0.256 0.016 0.250
0.744 0.984 0.750
0.760 0.744 0.250
0.984 0.240 0.250
0.058 0.450 0.750
0.392 0.942 0.750
0.450 0.392 0.250
0.550 0.608 0.750
0.608 0.058 0.250
0.942 0.550 0.250
```

Main lines, by intensity (10 to 90 degrees two-theta):
d_spacing	2theta	I/Imax	index
2.545	35.26	100	2 1 1
3.060	29.19	27	2 0 1
3.002	29.76	26	2 1 0
2.400	37.47	26	0 0 2
2.647	33.86	16	3 0 0
1.412	66.18	15	2 1 3
1.875	48.56	13	2 1 2
1.733	52.82	12	1 4 0
1.405	66.55	12	1 4 2
1.778	51.38	10	3 0 2

***

[2]
# BaAc4Hg4
Simulated X-ray powder pattern, Cu Kα (weighted mean of Kα1 and Kα2). Input: a GGA-PBE-relaxed structure.

Structural model:
```
BaAc4Hg4
1.0
10.776 0.000 0.000
0.000 10.776 0.000
0.000 0.000 6.420
Ba Ac Hg
2 8 8
Direct
0.250 0.250 0.250
0.750 0.750 0.750
0.094 0.653 0.148
0.153 0.906 0.648
0.347 0.594 0.648
0.406 0.847 0.148
0.594 0.153 0.852
0.653 0.406 0.352
0.847 0.094 0.352
0.906 0.347 0.852
0.031 0.605 0.647
0.105 0.969 0.147
0.395 0.531 0.147
0.469 0.895 0.647
0.531 0.105 0.353
0.605 0.469 0.853
0.895 0.031 0.853
0.969 0.395 0.353
```

Main lines, by intensity (10 to 90 degrees two-theta):
d_spacing	2theta	I/Imax	index
3.408	26.15	100	1 3 0
3.076	29.02	56	1 0 2
2.394	37.58	43	3 0 2
2.710	33.06	39	2 3 1
7.620	11.61	37	1 1 0
2.187	41.27	29	3 2 2
2.410	37.32	27	4 2 0
2.421	37.14	21	4 1 1
2.672	33.54	20	1 2 2
5.388	16.45	17	2 0 0

***

[3]
# K2Se2O5
Simulated X-ray powder pattern, Cu Kα (weighted mean of Kα1 and Kα2). Input: a GGA-PBE-relaxed structure.

Structural model:
```
K2Se2O5
1.0
4.222 0.000 0.000
-0.450 6.248 0.000
-1.187 -2.221 7.425
K Se O
2 2 5
Direct
0.000 0.000 0.000
0.488 0.637 0.316
0.013 0.224 0.467
0.595 0.445 0.830
0.170 0.991 0.371
0.374 0.435 0.600
0.430 0.215 0.870
0.462 0.669 0.964
0.940 0.350 0.303
```

Main lines, by intensity (10 to 90 degrees two-theta):
d_spacing	2theta	I/Imax	index
3.230	27.61	100	1 1 0
5.986	14.80	77	0 1 0
5.492	16.14	74	0 1 -1
3.713	23.97	58	0 0 2
3.614	24.63	44	1 -1 0
3.101	28.79	38	0 2 -1
3.928	22.63	36	1 0 -1
2.337	38.52	33	-1 2 1
3.048	29.30	32	1 0 -2
3.272	27.25	32	1 -1 1